Structure and calculated powder diffractogram of MgSi2 (a crystal structure in the Materials Project, relaxed with GGA-PBE; Cu Ka).
No peak broadening, texture or thermal motion is included.

Top 12 peaks for 15° ≤ 2θ ≤ 90°, sorted by position:
hkl  two_theta  d (Å)  I/Imax
2 -1 1  34.6  2.589  61
-2 1 2  34.9  2.568  50
1 -3 0  35.9  2.498  34
0 3 0  36.1  2.486  72
0 1 -4  37.2  2.416  89
1 -2 3  37.7  2.386  39
0 2 3  38.6  2.331  100
1 1 3  38.8  2.323  71
-2 2 2  39.2  2.300  70
1 -3 2  39.9  2.262  61
2 0 2  40.5  2.228  48
2 -3 2  47.6  1.909  48

Atomic structure:
Cell lengths 5.6750, 7.7079, 9.9901 Å; angles 94.61, 98.51, 102.72 degrees
Space group P-1 (No. 2)
Symmetry-distinct sites (fractional):
Mg1 0.0910 0.2367 0.1729
Mg2 0.2641 0.1372 0.8670
Mg3 0.2782 0.5677 0.0093
Mg4 0.2927 0.9246 0.3608
Si1 0.0429 0.5856 0.2282
Si2 0.1471 0.8765 0.6165
Si3 0.1606 0.4706 0.4380
Si4 0.2107 0.9003 0.0816
Si5 0.2401 0.1977 0.5655
Si6 0.3857 0.4483 0.7526
Si7 0.4546 0.8344 0.8395
Si8 0.4746 0.6933 0.5943

Structure and calculated powder diffractogram of UCo6Ge6 (a crystal structure in the Materials Project, relaxed with GGA-PBE; Cu Ka).
No peak broadening, texture or thermal motion is included.

Top 12 peaks for 15° ≤ 2θ ≤ 90°, sorted by position:
hkl  two_theta  d (Å)  I/Imax
1 0 1  23.1  3.851  26
1 1 0  35.2  2.548  71
1 0 3  39.9  2.258  46
2 0 0  40.9  2.206  55
1 1 2  42.2  2.140  100
0 0 4  46.1  1.971  22
2 0 2  47.2  1.925  23
1 1 3  49.9  1.829  24
3 0 0  63.2  1.471  22
3 0 2  68.0  1.378  24
2 2 0  74.5  1.274  29
1 1 6  82.6  1.168  26

Atomic structure:
Cell lengths 5.0956, 5.0956, 7.8839 Å; angles 90.00, 90.00, 120.00 degrees
Space group P6/mmm (No. 191)
Symmetry-distinct sites (fractional):
U1 0.0000 0.0000 0.0000
Co1 0.0000 0.5000 0.2501
Ge1 0.0000 0.0000 0.3463
Ge2 0.3333 0.6667 0.0000
Ge3 0.3333 0.6667 0.5000

Structure and calculated powder diffractogram of V4ZnS8 (a crystal structure in the Materials Project, relaxed with GGA-PBE; Cu Ka).
No peak broadening, texture or thermal motion is included.

Top 12 peaks for 15° ≤ 2θ ≤ 90°, sorted by position:
hkl  two_theta  d (Å)  I/Imax
0 0 3  15.5  5.725  36
0 1 2  18.1  4.898  11
0 2 1  30.4  2.937  17
0 2 4  36.7  2.449  100
2 0 5  40.0  2.251  7
0 2 7  48.0  1.894  6
2 0 8  52.5  1.742  32
2 2 0  53.2  1.721  31
2 2 3  55.8  1.648  7
4 0 4  66.4  1.408  15
0 4 8  78.0  1.224  9
2 2 12  88.9  1.100  14

Atomic structure:
Cell lengths 6.8847, 6.8847, 17.1746 Å; angles 90.00, 90.00, 120.00 degrees
Space group R-3m (No. 166, hexagonal axes)
Symmetry-distinct sites (fractional):
V1 0.0000 0.0000 0.0000
V2 0.0000 0.5000 0.5000
Zn1 0.0000 0.0000 0.5000
S1 0.0000 0.0000 0.2456
S2 0.0097 0.5049 0.7513

Structure and calculated powder diffractogram of USi2Ni10 (a crystal structure in the Materials Project, relaxed with GGA-PBE; Cu Ka).
No peak broadening, texture or thermal motion is included.

Top 12 peaks for 15° ≤ 2θ ≤ 90°, sorted by position:
hkl  two_theta  d (Å)  I/Imax
0 1 1  15.6  5.682  47
1 1 0  21.7  4.094  38
1 2 1  31.4  2.851  33
0 2 2  31.5  2.841  35
0 1 3  34.6  2.589  47
1 0 3  37.8  2.381  40
1 3 0  39.2  2.299  92
2 0 2  43.7  2.072  93
0 0 4  44.0  2.057  51
2 2 0  44.3  2.047  60
1 2 3  44.5  2.036  58
1 3 2  45.2  2.007  100

Atomic structure:
Cell lengths 4.7961, 7.8572, 8.2279 Å; angles 90.00, 90.00, 90.00 degrees
Space group Immm (No. 71)
Symmetry-distinct sites (fractional):
U1 0.0000 0.0000 0.0000
Si1 0.0000 0.5000 0.2493
Ni1 0.0000 0.0000 0.3532
Ni2 0.0000 0.3202 0.5000
Ni3 0.0000 0.3403 0.0000
Ni4 0.2500 0.2500 0.2500

Structure and calculated powder diffractogram of Mg2Ge (a crystal structure in the Materials Project, relaxed with GGA-PBE; Cu Ka).
No peak broadening, texture or thermal motion is included.

Top 12 peaks for 15° ≤ 2θ ≤ 90°, sorted by position:
hkl  two_theta  d (Å)  I/Imax
1 1 1  19.1  4.650  21
2 2 0  31.4  2.848  71
3 1 1  37.0  2.428  100
2 2 2  38.7  2.325  12
3 3 1  49.3  1.848  5
4 2 2  55.9  1.644  27
5 1 1  59.7  1.550  32
4 4 0  65.6  1.424  23
5 3 1  69.0  1.361  4
6 2 0  74.5  1.273  11
5 3 3  77.8  1.228  11
6 2 2  78.8  1.214  4

Atomic structure:
Cell lengths 8.0541, 8.0541, 8.0541 Å; angles 90.00, 90.00, 90.00 degrees
Space group Fd-3m (No. 227, origin choice 2)
Symmetry-distinct sites (fractional):
Mg1 0.0000 0.0000 0.0000
Ge1 0.1250 0.1250 0.6250